The following is a theoretical powder diffractogram of Li3Tl8. It was derived from a DFT-relaxed cell (GGA-PBE, Alexandria), using Cu Kα X-rays.
Kinematic intensities with the Lorentz-polarization factor, no thermal factor.

Top 6 peaks for 5 to 70 degrees two-theta, by intensity:
two_theta	d_spacing	I_rel	hkl
30.4	2.944	100	3 -1 1
29.7	3.011	51	1 1 3
33.1	2.705	49	1 2 2
32.2	2.784	37	1 0 4
52.1	1.755	30	4 1 0
61.5	1.507	17	2 4 1

Cell and atoms:
a = 9.2842 Å, b = 9.2842 Å, c = 11.8690 Å
α = 90.00°, β = 90.00°, γ = 120.00°
Space group R-3 (No. 148, hexagonal axes)
Symmetry-distinct sites (fractional):
Li1 0.0000 0.5000 0.0000 (multiplicity 9)
Tl1 0.0000 0.0000 0.3629 (multiplicity 6)
Tl2 0.0368 0.7980 0.1127 (multiplicity 18)